# 1
CuP4S3Br: computed powder XRD pattern (copper Kα), based on a structure optimized by DFT (GGA-PBE).
Intensities are scaled so that the largest is 100.

Peak list (6 most intense, 2θ = 5–70°, by intensity)
- 2θ = 7.72°, intensity 100, (0 2 0)
- 2θ = 17.92°, intensity 93, (1 3 1)
- 2θ = 15.73°, intensity 37, (0 0 2)
- 2θ = 27.46°, intensity 31, (2 0 2)
- 2θ = 28.56°, intensity 21, (2 2 2)
- 2θ = 30.58°, intensity 20, (1 7 1)

Structural model:
```
data_CuP4S3Br
_cell_length_a 7.953
_cell_length_b 22.917
_cell_length_c 11.269
_cell_angle_alpha 90.00
_cell_angle_beta 90.00
_cell_angle_gamma 90.00
_space_group_name_H-M_alt 'C m c e'
_space_group_IT_number 64
_space_group_name_Hall '-C 2ac 2'
loop_
_atom_site_label
_atom_site_fract_x
_atom_site_fract_y
_atom_site_fract_z
_atom_site_occupancy
Cu1 0.197 0.000 0.000 1
P1 0.000 0.116 0.315 1
P2 0.000 0.210 0.541 1
P3 0.141 0.080 0.474 1
S1 0.000 0.206 0.352 1
S2 0.204 0.153 0.576 1
Br1 0.000 0.023 0.837 1
```

---

# 2
SmPaNi10: computed powder XRD pattern (copper Kα), based on a structure optimized by DFT (GGA-PBE).
Intensities are scaled so that the largest is 100.

Peak list (6 most intense, 2θ = 5–70°, by intensity)
- 2θ = 43.55°, intensity 100, (1 1 3)
- 2θ = 30.82°, intensity 93, (1 1 1)
- 2θ = 43.42°, intensity 51, (1 2 0)
- 2θ = 45.42°, intensity 40, (2 0 0)
- 2θ = 42.79°, intensity 36, (0 2 2)
- 2θ = 36.93°, intensity 34, (0 1 3)

Structural model:
```
data_SmPaNi10
_cell_length_a 3.994
_cell_length_b 4.886
_cell_length_c 8.420
_cell_angle_alpha 90.00
_cell_angle_beta 90.00
_cell_angle_gamma 90.00
_space_group_name_H-M_alt 'P m m m'
_space_group_IT_number 47
loop_
_space_group_symop_operation_xyz
'x,y,z'
'-x,-y,-z'
'-x,-y,z'
'x,y,-z'
'x,-y,-z'
'-x,y,z'
'-x,y,-z'
'x,-y,z'
loop_
_atom_site_label
_atom_site_fract_x
_atom_site_fract_y
_atom_site_fract_z
_atom_site_occupancy
Sm1 0.000 0.000 0.000 1
Pa1 0.000 0.500 0.500 1
Ni1 0.000 0.000 0.340 1
Ni2 0.000 0.500 0.178 1
Ni3 0.500 0.000 0.500 1
Ni4 0.500 0.253 0.255 1
Ni5 0.500 0.500 0.000 1
```

---

Please write out number 1 again, unchanged.
CuP4S3Br: computed powder XRD pattern (copper Kα), based on a structure optimized by DFT (GGA-PBE).
Intensities are scaled so that the largest is 100.

Peak list (6 most intense, 2θ = 5–70°, by intensity)
- 2θ = 7.72°, intensity 100, (0 2 0)
- 2θ = 17.92°, intensity 93, (1 3 1)
- 2θ = 15.73°, intensity 37, (0 0 2)
- 2θ = 27.46°, intensity 31, (2 0 2)
- 2θ = 28.56°, intensity 21, (2 2 2)
- 2θ = 30.58°, intensity 20, (1 7 1)

Structural model:
```
data_CuP4S3Br
_cell_length_a 7.953
_cell_length_b 22.917
_cell_length_c 11.269
_cell_angle_alpha 90.00
_cell_angle_beta 90.00
_cell_angle_gamma 90.00
_space_group_name_H-M_alt 'C m c e'
_space_group_IT_number 64
_space_group_name_Hall '-C 2ac 2'
loop_
_atom_site_label
_atom_site_fract_x
_atom_site_fract_y
_atom_site_fract_z
_atom_site_occupancy
Cu1 0.197 0.000 0.000 1
P1 0.000 0.116 0.315 1
P2 0.000 0.210 0.541 1
P3 0.141 0.080 0.474 1
S1 0.000 0.206 0.352 1
S2 0.204 0.153 0.576 1
Br1 0.000 0.023 0.837 1
```